Record 1
The following is a calculated XRD peak list of V4GaSe8. It was derived from a PBE-relaxed structure, using Cu Kα (weighted mean of Kα1 and Kα2).

Structure:
a = 7.242 Å, b = 7.242 Å, c = 7.242 Å
α = 60.00°, β = 60.00°, γ = 60.00°
Element x y z (fractional)
V (0.396, 0.396, 0.396)
V (0.396, 0.396, 0.812)
V (0.396, 0.812, 0.396)
V (0.812, 0.396, 0.396)
Ga (0.000, 0.000, 0.000)
Se (0.106, 0.631, 0.631)
Se (0.138, 0.138, 0.138)
Se (0.138, 0.138, 0.587)
Se (0.138, 0.587, 0.138)
Se (0.587, 0.138, 0.138)
Se (0.631, 0.106, 0.631)
Se (0.631, 0.631, 0.106)
Se (0.631, 0.631, 0.631)

Most intense lines, 2θ = 10–80°, sorted by position:
| 2θ (°) | I_rel |
| --- | --- |
| 28.91 | 24 |
| 30.23 | 77 |
| 35.05 | 100 |
| 43.28 | 26 |
| 50.40 | 90 |
| 59.91 | 35 |

---

Record 2
The following is a calculated XRD peak list of Ta3N5. It was derived from a PBE-relaxed structure, using Cu Kα (weighted mean of Kα1 and Kα2).

Structure:
a = 5.521 Å, b = 5.521 Å, c = 10.357 Å
α = 90.00°, β = 90.00°, γ = 138.58°
Element x y z (fractional)
Ta (0.134, 0.866, 0.559)
Ta (0.134, 0.866, 0.941)
Ta (0.197, 0.803, 0.250)
Ta (0.803, 0.197, 0.750)
Ta (0.866, 0.134, 0.059)
Ta (0.866, 0.134, 0.441)
N (0.047, 0.953, 0.119)
N (0.047, 0.953, 0.381)
N (0.237, 0.763, 0.750)
N (0.308, 0.692, 0.074)
N (0.308, 0.692, 0.426)
N (0.692, 0.308, 0.574)
N (0.692, 0.308, 0.926)
N (0.763, 0.237, 0.250)
N (0.953, 0.047, 0.619)
N (0.953, 0.047, 0.881)

Most intense lines, 2θ = 10–80°, sorted by position:
| 2θ (°) | I_rel |
| --- | --- |
| 17.16 | 42 |
| 24.37 | 94 |
| 31.16 | 84 |
| 34.73 | 60 |
| 35.80 | 100 |
| 57.04 | 63 |

---

Record 3
The following is a calculated XRD peak list of Hf8MgN8O4. It was derived from a PBE-relaxed structure, using Cu Kα (weighted mean of Kα1 and Kα2).

Structure:
a = 5.694 Å, b = 5.736 Å, c = 10.849 Å
α = 89.76°, β = 74.97°, γ = 60.33°
Element x y z (fractional)
Hf (0.000, 0.000, 0.000)
Hf (0.036, 0.817, 0.421)
Hf (0.206, 0.885, 0.710)
Hf (0.351, 0.343, 0.998)
Hf (0.453, 0.108, 0.295)
Hf (0.545, 0.251, 0.713)
Hf (0.708, 0.642, 0.000)
Hf (0.871, 0.564, 0.721)
Mg (0.707, 0.480, 0.413)
N (0.101, 0.645, 0.856)
N (0.399, 0.813, 0.367)
N (0.598, 0.545, 0.621)
N (0.610, 0.033, 0.090)
N (0.740, 0.123, 0.363)
N (0.764, 0.284, 0.857)
N (0.916, 0.879, 0.624)
N (0.976, 0.346, 0.073)
O (0.082, 0.461, 0.361)
O (0.246, 0.217, 0.647)
O (0.295, 0.696, 0.076)
O (0.442, 0.937, 0.848)

Most intense lines, 2θ = 10–80°, sorted by position:
| 2θ (°) | I_rel |
| --- | --- |
| 25.79 | 100 |
| 31.17 | 69 |
| 31.42 | 51 |
| 32.29 | 65 |
| 32.45 | 65 |
| 41.05 | 59 |

---

Record 4
The following is a calculated XRD peak list of Tb2Al3Fe. It was derived from a PBE-relaxed structure, using Cu Kα (weighted mean of Kα1 and Kα2).

Structure:
a = 5.397 Å, b = 5.397 Å, c = 5.397 Å
α = 61.61°, β = 61.61°, γ = 61.61°
Element x y z (fractional)
Tb (0.126, 0.126, 0.126)
Tb (0.874, 0.874, 0.874)
Al (0.000, 0.500, 0.500)
Al (0.500, 0.000, 0.500)
Al (0.500, 0.500, 0.000)
Fe (0.500, 0.500, 0.500)

Most intense lines, 2θ = 10–80°, sorted by position:
| 2θ (°) | I_rel |
| --- | --- |
| 19.75 | 49 |
| 20.41 | 35 |
| 32.39 | 100 |
| 33.22 | 62 |
| 38.59 | 100 |
| 39.30 | 45 |

---

Record 5
The following is a calculated XRD peak list of Ce2Al2PdPt. It was derived from a PBE-relaxed structure, using Cu Kα (weighted mean of Kα1 and Kα2).

Structure:
a = 4.448 Å, b = 7.879 Å, c = 7.213 Å
α = 90.00°, β = 90.00°, γ = 90.00°
Element x y z (fractional)
Ce (0.000, 0.069, 0.000)
Ce (0.000, 0.931, 0.500)
Ce (0.500, 0.429, 0.060)
Ce (0.500, 0.571, 0.560)
Al (0.000, 0.320, 0.384)
Al (0.000, 0.680, 0.884)
Al (0.500, 0.185, 0.681)
Al (0.500, 0.815, 0.181)
Pd (0.500, 0.139, 0.315)
Pd (0.500, 0.861, 0.815)
Pt (0.000, 0.362, 0.750)
Pt (0.000, 0.638, 0.250)

Most intense lines, 2θ = 10–80°, sorted by position:
| 2θ (°) | I_rel |
| --- | --- |
| 25.77 | 27 |
| 26.11 | 48 |
| 32.81 | 58 |
| 33.96 | 100 |
| 39.86 | 26 |
| 40.56 | 35 |

---

Record 6
The following is a calculated XRD peak list of URh2O6. It was derived from a PBE-relaxed structure, using Cu Kα (weighted mean of Kα1 and Kα2).

Structure:
a = 4.824 Å, b = 4.824 Å, c = 9.440 Å
α = 90.00°, β = 90.00°, γ = 90.00°
Element x y z (fractional)
U (0.000, 0.000, 0.000)
U (0.500, 0.500, 0.500)
Rh (0.000, 0.000, 0.330)
Rh (0.000, 0.000, 0.670)
Rh (0.500, 0.500, 0.170)
Rh (0.500, 0.500, 0.830)
O (0.188, 0.188, 0.500)
O (0.201, 0.201, 0.167)
O (0.201, 0.201, 0.833)
O (0.299, 0.701, 0.333)
O (0.299, 0.701, 0.667)
O (0.312, 0.688, 0.000)
O (0.688, 0.312, 0.000)
O (0.701, 0.299, 0.333)
O (0.701, 0.299, 0.667)
O (0.799, 0.799, 0.167)
O (0.799, 0.799, 0.833)
O (0.812, 0.812, 0.500)

Most intense lines, 2θ = 10–80°, sorted by position:
| 2θ (°) | I_rel |
| --- | --- |
| 20.68 | 24 |
| 26.12 | 100 |
| 34.02 | 82 |
| 37.28 | 25 |
| 51.35 | 66 |
| 65.15 | 19 |

---

Record 7
The following is a calculated XRD peak list of LuGaCu2. It was derived from a PBE-relaxed structure, using Cu Kα (weighted mean of Kα1 and Kα2).

Structure:
a = 4.482 Å, b = 4.482 Å, c = 4.482 Å
α = 60.00°, β = 60.00°, γ = 60.00°
Element x y z (fractional)
Lu (0.000, 0.000, 0.000)
Ga (0.500, 0.500, 0.500)
Cu (0.250, 0.250, 0.250)
Cu (0.750, 0.750, 0.750)

Most intense lines, 2θ = 10–80°, sorted by position:
| 2θ (°) | I_rel |
| --- | --- |
| 24.32 | 16 |
| 28.16 | 10 |
| 40.24 | 100 |
| 47.58 | 8 |
| 58.22 | 16 |
| 73.14 | 33 |

---

Record 8
The following is a calculated XRD peak list of La2C2N4O. It was derived from a PBE-relaxed structure, using Cu Kα (weighted mean of Kα1 and Kα2).

Structure:
a = 7.480 Å, b = 7.480 Å, c = 6.141 Å
α = 103.36°, β = 103.36°, γ = 49.65°
Element x y z (fractional)
La (0.115, 0.685, 0.925)
La (0.315, 0.885, 0.575)
La (0.685, 0.115, 0.425)
La (0.885, 0.315, 0.075)
C (0.121, 0.574, 0.389)
C (0.426, 0.879, 0.111)
C (0.574, 0.121, 0.889)
C (0.879, 0.426, 0.611)
N (0.050, 0.367, 0.754)
N (0.291, 0.525, 0.531)
N (0.367, 0.050, 0.254)
N (0.475, 0.709, 0.969)
N (0.525, 0.291, 0.031)
N (0.633, 0.950, 0.746)
N (0.709, 0.475, 0.469)
N (0.950, 0.633, 0.246)
O (0.026, 0.974, 0.250)
O (0.974, 0.026, 0.750)

Most intense lines, 2θ = 10–80°, sorted by position:
| 2θ (°) | I_rel |
| --- | --- |
| 22.85 | 100 |
| 26.18 | 81 |
| 27.16 | 43 |
| 28.42 | 51 |
| 29.70 | 55 |
| 31.70 | 41 |

---

Record 9
The following is a calculated XRD peak list of Gd2NCl3. It was derived from a PBE-relaxed structure, using Cu Kα (weighted mean of Kα1 and Kα2).

Structure:
a = 13.152 Å, b = 6.775 Å, c = 6.172 Å
α = 90.00°, β = 90.00°, γ = 90.00°
Element x y z (fractional)
Gd (0.092, 0.172, 0.008)
Gd (0.092, 0.828, 0.508)
Gd (0.408, 0.328, 0.508)
Gd (0.408, 0.672, 0.008)
Gd (0.592, 0.328, 0.992)
Gd (0.592, 0.672, 0.492)
Gd (0.908, 0.172, 0.492)
Gd (0.908, 0.828, 0.992)
N (0.000, 0.010, 0.750)
N (0.000, 0.990, 0.250)
N (0.500, 0.490, 0.250)
N (0.500, 0.510, 0.750)
Cl (0.000, 0.497, 0.250)
Cl (0.000, 0.503, 0.750)
Cl (0.221, 0.135, 0.389)
Cl (0.221, 0.865, 0.889)
Cl (0.279, 0.365, 0.889)
Cl (0.279, 0.635, 0.389)
Cl (0.500, 0.003, 0.750)
Cl (0.500, 0.997, 0.250)
Cl (0.721, 0.365, 0.611)
Cl (0.721, 0.635, 0.111)
Cl (0.779, 0.135, 0.111)
Cl (0.779, 0.865, 0.611)

Most intense lines, 2θ = 10–80°, sorted by position:
| 2θ (°) | I_rel |
| --- | --- |
| 13.46 | 19 |
| 14.71 | 32 |
| 23.74 | 100 |
| 28.93 | 20 |
| 33.60 | 40 |
| 36.55 | 53 |

---

Record 10
The following is a calculated XRD peak list of K2CuCl4O2. It was derived from a PBE-relaxed structure, using Cu Kα (weighted mean of Kα1 and Kα2).

Structure:
a = 6.688 Å, b = 6.688 Å, c = 6.688 Å
α = 110.52°, β = 110.52°, γ = 107.40°
Element x y z (fractional)
K (0.250, 0.750, 0.500)
K (0.750, 0.250, 0.500)
Cu (0.000, 0.000, 0.000)
Cl (0.211, 0.211, 0.423)
Cl (0.211, 0.789, 0.000)
Cl (0.789, 0.211, 0.000)
Cl (0.789, 0.789, 0.577)
O (0.422, 0.422, 0.000)
O (0.578, 0.578, 0.000)

Most intense lines, 2θ = 10–80°, sorted by position:
| 2θ (°) | I_rel |
| --- | --- |
| 16.14 | 63 |
| 22.46 | 33 |
| 27.96 | 100 |
| 32.61 | 30 |
| 33.25 | 85 |
| 43.98 | 36 |